(1)
Er4Br4O3: theoretical X-ray powder pattern (Cu Kα X-rays), based on a structure optimized by DFT (GGA-PBE).
Lines closer than 0.1° are merged.

Crystal structure
abc: 3.7415 7.5081 8.5137
angles: 90.00 90.00 90.00
Fractional coordinates of all 11 atoms:
Er1 0.0000 0.0000 0.0000
Er2 0.0000 0.5000 0.0066
Er3 0.5000 0.2477 0.2747
Er4 0.5000 0.7523 0.2747
Br1 0.0000 0.0000 0.4633
Br2 0.0000 0.5000 0.4681
Br3 0.5000 0.2514 0.8111
Br4 0.5000 0.7486 0.8111
O1 0.0000 0.2413 0.1388
O2 0.0000 0.7587 0.1388
O3 0.5000 0.5000 0.1402

Largest 10 diffraction maxima, by angle, 10° ≤ 2θ ≤ 90°:
d 8.514, 10.39°, I = 44
d 3.430, 25.98°, I = 8
d 2.813, 31.81°, I = 100
d 2.650, 33.82°, I = 44
d 2.262, 39.84°, I = 10
d 1.877, 48.50°, I = 10
d 1.871, 48.67°, I = 9
d 1.659, 55.36°, I = 15
d 1.561, 59.19°, I = 17
d 1.558, 59.31°, I = 17


(2)
YErBr2O2: theoretical X-ray powder pattern (Cu Kα X-rays), based on a structure optimized by DFT (GGA-PBE).
Lines closer than 0.1° are merged.

Crystal structure
abc: 3.8232 3.8232 8.6167
angles: 90.00 90.00 90.00
Fractional coordinates of all 6 atoms:
Y1 0.0000 0.0000 0.0000
Er1 0.5000 0.5000 0.2626
Br1 0.0000 0.0000 0.4549
Br2 0.5000 0.5000 0.8078
O1 0.0000 0.5000 0.1342
O2 0.5000 0.0000 0.1342

Largest 10 diffraction maxima, by angle, 10° ≤ 2θ ≤ 90°:
d 8.617, 10.27°, I = 48
d 2.860, 31.28°, I = 100
d 2.703, 33.14°, I = 43
d 2.296, 39.23°, I = 14
d 2.290, 39.35°, I = 10
d 1.912, 47.57°, I = 21
d 1.877, 48.51°, I = 9
d 1.685, 54.46°, I = 15
d 1.589, 58.04°, I = 34
d 1.453, 64.08°, I = 7